Record 1
This entry pairs a crystal structure of AlCrW2O8 with its calculated X-ray diffraction stick pattern. Radiation: Cu Kα X-rays. Structure: a structure optimized by DFT (GGA+U).

Main lines, in order of rising 2θ (15 to 90 degrees two-theta):
2θ 17.5, I = 56; 2θ 18.0, I = 100; 2θ 21.8, I = 31; 2θ 23.4, I = 47; 2θ 24.2, I = 88; 2θ 29.1, I = 60; 2θ 30.1, I = 57; 2θ 35.2, I = 57; 2θ 37.0, I = 24; 2θ 40.2, I = 24; 2θ 42.6, I = 31; 2θ 47.1, I = 28

Atomic structure:
Cell: 5.0240 5.7963 6.6550 Å, 65.46 80.58 71.44°
Sites, in units of the cell vectors:
Al1 0.0000 0.0000 0.0000
Cr1 0.5153 0.6533 0.3529
W1 0.2477 0.3057 0.1870
W2 0.7877 0.0090 0.5040
O1 0.1735 0.9343 0.3840
O2 0.1777 0.2473 0.9475
O3 0.2591 0.6790 0.1015
O4 0.4124 0.2346 0.4771
O5 0.6912 0.0803 0.1699
O6 0.7177 0.6954 0.5829
O7 0.8663 0.0019 0.7684
O8 0.8661 0.3884 0.3103

=====

Record 2
This entry pairs a crystal structure of AlCrW2O8 with its calculated X-ray diffraction stick pattern. Radiation: Cu Kα X-rays. Structure: a structure optimized by DFT (GGA+U).

Main lines, in order of rising 2θ (15 to 90 degrees two-theta):
2θ 16.0, I = 36; 2θ 19.4, I = 100; 2θ 23.5, I = 47; 2θ 23.9, I = 51; 2θ 25.2, I = 92; 2θ 30.6, I = 57; 2θ 30.7, I = 59; 2θ 30.8, I = 61; 2θ 31.1, I = 57; 2θ 35.1, I = 44; 2θ 40.3, I = 33; 2θ 53.5, I = 40

Atomic structure:
Cell: 5.1082 5.5478 9.1594 Å, 90.19 90.45 90.91°
Sites, in units of the cell vectors:
Al1 0.0000 0.0000 0.0000
Al2 0.4928 0.3016 0.4992
Cr1 0.4946 0.2895 0.9991
Cr2 0.9982 0.0108 0.4993
W1 0.4993 0.8156 0.7488
W2 0.5022 0.8130 0.2483
W3 0.9912 0.4875 0.2508
W4 0.9926 0.4858 0.7504
O1 0.1529 0.7705 0.8646
O2 0.1549 0.2580 0.8883
O3 0.1572 0.7670 0.3623
O4 0.1777 0.2739 0.3892
O5 0.3153 0.0273 0.1110
O6 0.3371 0.5319 0.1375
O7 0.3381 0.0415 0.6106
O8 0.3397 0.5300 0.6350
O9 0.6538 0.0344 0.3851
O10 0.6615 0.5249 0.3696
O11 0.6665 0.5309 0.8651
O12 0.6731 0.0221 0.8891
O13 0.8207 0.2782 0.6105
O14 0.8263 0.7714 0.6344
O15 0.8322 0.7760 0.1298
O16 0.8389 0.2655 0.1147

=====

Record 3
This entry pairs a crystal structure of Al4Zn3Cr2O12 with its calculated X-ray diffraction stick pattern. Radiation: Cu Kα X-rays. Structure: a structure optimized by DFT (GGA+U).

Main lines, in order of rising 2θ (15 to 90 degrees two-theta):
2θ 30.4, I = 36; 2θ 30.7, I = 67; 2θ 35.8, I = 47; 2θ 36.0, I = 100; 2θ 36.2, I = 25; 2θ 57.7, I = 13; 2θ 57.9, I = 22; 2θ 58.0, I = 15; 2θ 58.1, I = 17; 2θ 63.3, I = 25; 2θ 63.9, I = 25; 2θ 64.1, I = 13

Atomic structure:
Cell: 10.1378 10.1378 8.2803 Å, 113.50 113.50 33.33°
Sites, in units of the cell vectors:
Al1 0.0000 0.5000 0.0000
Al2 0.1648 0.6667 0.6674
Al3 0.1670 0.1670 0.1666
Al4 0.3333 0.8352 0.3326
Al5 0.5000 0.0000 0.0000
Al6 0.6667 0.1648 0.6674
Al7 0.8330 0.8330 0.8334
Al8 0.8352 0.3333 0.3326
Zn1 0.0841 0.0841 0.7125
Zn2 0.2493 0.2493 0.6236
Zn3 0.4165 0.4165 0.0410
Zn4 0.5835 0.5835 0.9590
Zn5 0.7507 0.7507 0.3764
Zn6 0.9159 0.9159 0.2875
Cr1 0.0000 0.0000 0.0000
Cr2 0.3324 0.3324 0.3332
Cr3 0.5000 0.5000 0.5000
Cr4 0.6676 0.6676 0.6668
O1 0.0114 0.0114 0.2538
O2 0.0208 0.4727 0.2295
O3 0.1378 0.6886 0.8969
O4 0.1580 0.1580 0.3925
O5 0.1761 0.1761 0.9403
O6 0.1834 0.6491 0.4364
O7 0.3114 0.8622 0.1031
O8 0.3222 0.3222 0.0801
O9 0.3441 0.3441 0.5871
O10 0.3509 0.8166 0.5636
O11 0.4727 0.0208 0.2295
O12 0.4891 0.4891 0.7335
O13 0.5109 0.5109 0.2665
O14 0.5273 0.9792 0.7705
O15 0.6491 0.1834 0.4364
O16 0.6559 0.6559 0.4129
O17 0.6778 0.6778 0.9199
O18 0.6886 0.1378 0.8969
O19 0.8166 0.3509 0.5636
O20 0.8239 0.8239 0.0597
O21 0.8420 0.8420 0.6075
O22 0.8622 0.3114 0.1031
O23 0.9792 0.5273 0.7705
O24 0.9886 0.9886 0.7462

=====

Record 4
This entry pairs a crystal structure of Cs3Li2AlMo4O16 with its calculated X-ray diffraction stick pattern. Radiation: Cu Kα X-rays. Structure: a structure optimized by DFT (GGA+U).

Main lines, in order of rising 2θ (15 to 90 degrees two-theta):
2θ 17.3, I = 13; 2θ 22.3, I = 87; 2θ 22.8, I = 37; 2θ 26.5, I = 84; 2θ 26.6, I = 100; 2θ 26.9, I = 81; 2θ 32.4, I = 19; 2θ 33.5, I = 17; 2θ 33.7, I = 37; 2θ 36.3, I = 13; 2θ 44.3, I = 29; 2θ 50.6, I = 19

Atomic structure:
Cell: 10.8364 10.8364 10.8364 Å, 108.81 108.81 110.80°
Sites, in units of the cell vectors:
Cs1 0.0000 0.0000 0.0000
Cs2 0.2370 0.1250 0.6120
Cs3 0.3750 0.7630 0.8880
Cs4 0.5130 0.6250 0.3880
Cs5 0.7500 0.2500 0.5000
Cs6 0.8750 0.4870 0.1120
Li1 0.3750 0.2494 0.3744
Li2 0.7506 0.1250 0.1256
Li3 0.8750 0.0006 0.6256
Li4 0.9994 0.6250 0.8744
Al1 0.2500 0.7500 0.5000
Al2 0.5000 0.5000 0.0000
Mo1 0.1263 0.3814 0.4439
Mo2 0.1314 0.3763 0.9439
Mo3 0.3175 0.8737 0.2551
Mo4 0.4325 0.1875 0.0561
Mo5 0.6186 0.0625 0.7449
Mo6 0.6237 0.5675 0.7551
Mo7 0.8125 0.8686 0.2449
Mo8 0.9375 0.6825 0.5561
O1 0.0197 0.4530 0.8803
O2 0.0523 0.1853 0.8064
O3 0.0873 0.7483 0.5019
O4 0.1264 0.3771 0.6049
O5 0.1271 0.3764 0.1049
O6 0.1773 0.7970 0.0667
O7 0.2030 0.2697 0.3803
O8 0.2464 0.5854 0.4981
O9 0.2517 0.7536 0.3390
O10 0.2714 0.0222 0.8951
O11 0.3354 0.4964 0.9981
O12 0.3710 0.0647 0.3670
O13 0.3790 0.2459 0.1936
O14 0.4146 0.9127 0.6610
O15 0.4786 0.8736 0.2508
O16 0.4983 0.3373 0.0019
O17 0.5036 0.5017 0.8390
O18 0.5470 0.4273 0.5667
O19 0.5727 0.1394 0.1197
O20 0.6229 0.2278 0.7492
O21 0.6236 0.7286 0.7508
O22 0.6627 0.6646 0.1610
O23 0.6977 0.0041 0.6330
O24 0.7303 0.1106 0.9333
O25 0.7541 0.9477 0.1330
O26 0.7722 0.5214 0.3951
O27 0.8147 0.6210 0.8670
O28 0.8606 0.9803 0.4333
O29 0.8894 0.8227 0.6197
O30 0.9353 0.3023 0.3064
O31 0.9778 0.8729 0.2492
O32 0.9959 0.6290 0.6936

=====

Record 5
This entry pairs a crystal structure of Al4Fe2CuP4H16O26 with its calculated X-ray diffraction stick pattern. Radiation: Cu Kα X-rays. Structure: a structure optimized by DFT (GGA+U).

Main lines, in order of rising 2θ (15 to 90 degrees two-theta):
2θ 24.3, I = 100; 2θ 25.3, I = 41; 2θ 26.1, I = 30; 2θ 29.8, I = 65; 2θ 31.7, I = 30; 2θ 36.2, I = 12; 2θ 38.0, I = 13; 2θ 42.6, I = 17; 2θ 43.0, I = 22; 2θ 46.3, I = 12; 2θ 51.7, I = 12; 2θ 56.6, I = 13

Atomic structure:
Cell: 7.6128 7.6932 9.8840 Å, 92.40 110.29 114.50°
Sites, in units of the cell vectors:
Al1 0.0516 0.2612 0.2233
Al2 0.4428 0.2281 0.2447
Al3 0.5572 0.7719 0.7553
Al4 0.9484 0.7388 0.7767
Fe1 0.2388 0.2490 0.7491
Fe2 0.7612 0.7510 0.2509
Cu1 0.5000 0.5000 0.5000
P1 0.1734 0.8491 0.5549
P2 0.3598 0.6741 0.9384
P3 0.6402 0.3259 0.0616
P4 0.8266 0.1509 0.4451
H1 0.1163 0.9260 0.1661
H2 0.1573 0.6377 0.3167
H3 0.1653 0.0646 0.9376
H4 0.2293 0.3505 0.0403
H5 0.2346 0.4801 0.5829
H6 0.2377 0.8647 0.0789
H7 0.2695 0.1590 0.4444
H8 0.3000 0.6287 0.2295
H9 0.7000 0.3713 0.7705
H10 0.7305 0.8410 0.5556
H11 0.7623 0.1353 0.9211
H12 0.7654 0.5199 0.4171
H13 0.7707 0.6495 0.9597
H14 0.8347 0.9354 0.0624
H15 0.8427 0.3623 0.6833
H16 0.8837 0.0740 0.8339
O1 0.0276 0.7215 0.6254
O2 0.0557 0.7692 0.3847
O3 0.0824 0.0230 0.8305
O4 0.1789 0.7362 0.9254
O5 0.2177 0.5569 0.2852
O6 0.2224 0.2766 0.1204
O7 0.2279 0.0694 0.5893
O8 0.2434 0.4416 0.8931
O9 0.2581 0.9512 0.1694
O10 0.2997 0.2431 0.3722
O11 0.3697 0.4886 0.6502
O12 0.3757 0.8271 0.6094
O13 0.4841 0.7244 0.1130
O14 0.5159 0.2756 0.8870
O15 0.6243 0.1729 0.3906
O16 0.6303 0.5114 0.3498
O17 0.7003 0.7569 0.6278
O18 0.7419 0.0488 0.8306
O19 0.7566 0.5584 0.1069
O20 0.7721 0.9306 0.4107
O21 0.7776 0.7234 0.8796
O22 0.7823 0.4431 0.7148
O23 0.8211 0.2638 0.0746
O24 0.9176 0.9770 0.1695
O25 0.9443 0.2308 0.6153
O26 0.9724 0.2785 0.3746

=====

Record 6
This entry pairs a crystal structure of Sr2AlFeCu2O7 with its calculated X-ray diffraction stick pattern. Radiation: Cu Kα X-rays. Structure: a structure optimized by DFT (GGA+U).

Main lines, in order of rising 2θ (15 to 90 degrees two-theta):
2θ 28.1, I = 40; 2θ 33.1, I = 100; 2θ 33.7, I = 37; 2θ 38.8, I = 28; 2θ 39.1, I = 28; 2θ 48.0, I = 31; 2θ 52.0, I = 12; 2θ 52.3, I = 12; 2θ 59.2, I = 12; 2θ 59.9, I = 13; 2θ 63.2, I = 8; 2θ 63.4, I = 15

Atomic structure:
Cell: 5.3152 5.4024 12.2043 Å, 102.77 102.55 90.06°
Sites, in units of the cell vectors:
Sr1 0.0000 0.0000 0.0000
Sr2 0.2014 0.2014 0.4045
Sr3 0.5001 0.4706 0.9999
Sr4 0.7020 0.6728 0.4045
Al1 0.3550 0.3336 0.7022
Al2 0.8565 0.8349 0.7022
Fe1 0.0600 0.6530 0.2022
Fe2 0.5598 0.0198 0.2022
Cu1 0.2984 0.7766 0.5850
Cu2 0.4164 0.8923 0.8193
Cu3 0.7979 0.2745 0.5851
Cu4 0.9161 0.3955 0.8192
O1 0.0461 0.4772 0.0483
O2 0.0894 0.0675 0.8089
O3 0.1266 0.1027 0.5924
O4 0.1933 0.9881 0.2023
O5 0.1989 0.6321 0.3563
O6 0.2370 0.5658 0.8116
O7 0.4816 0.4588 0.5955
O8 0.5448 0.0415 0.0480
O9 0.5892 0.2106 0.8091
O10 0.6271 0.9556 0.5930
O11 0.6933 0.6848 0.2019
O12 0.6989 0.1946 0.3565
O13 0.7378 0.7144 0.8121
O14 0.9815 0.6026 0.5951